No. 1
Theoretical powder X-ray diffraction pattern
Compound: AcMg9Ga3
Radiation: Cu Ka
Structure: a DFT-relaxed cell (PBE, Alexandria)
Kinematic intensities with the Lorentz-polarization factor, no thermal factor.

```
13
Lattice="2.864 -7.126 0.000 2.864 7.126 0.000 -2.796 0.000 7.164" Properties=species:S:1:pos:R:3 pbc="T T T"
Ac 0.000 0.000 0.000
Mg -1.398 0.000 3.582
Mg 0.053 4.592 4.648
Mg 0.076 1.571 5.621
Mg 2.880 4.592 2.516
Mg 2.857 1.571 1.544
Mg 0.076 -1.571 5.621
Mg 0.053 -4.592 4.648
Mg 2.857 -1.571 1.544
Mg 2.880 -4.592 2.516
Ga 1.432 3.563 0.000
Ga 1.432 -3.563 0.000
Ga 1.466 0.000 3.582
```

Top 10 peaks for 5 to 70 degrees two-theta, in order of rising 2θ:
d = 7.155 Å, rel. 100
d = 4.969 Å, rel. 69
d = 3.575 Å, rel. 78
d = 3.540 Å, rel. 75
d = 3.193 Å, rel. 46
d = 2.912 Å, rel. 45
d = 2.527 Å, rel. 100
d = 2.512 Å, rel. 91
d = 2.499 Å, rel. 63
d = 2.484 Å, rel. 62



No. 2
Theoretical powder X-ray diffraction pattern
Compound: Rb3Pu3TcS8
Radiation: Cu Ka
Structure: a DFT-relaxed cell (PBE, Alexandria)
Kinematic intensities with the Lorentz-polarization factor, no thermal factor.

```
15
Lattice="6.843 -3.963 0.000 6.843 3.963 0.000 -4.520 0.000 7.839" Properties=species:S:1:pos:R:3 pbc="T T T"
Rb 0.000 0.000 0.000
Rb 3.421 1.982 0.000
Rb 3.421 -1.982 0.000
Pu 1.161 1.982 3.920
Pu 1.161 -1.982 3.920
Pu 4.583 0.000 3.920
Tc -2.260 0.000 3.920
S 3.546 2.148 5.312
S -0.147 0.000 5.311
S 5.619 2.148 2.527
S 2.284 0.000 2.395
S 6.881 0.000 5.444
S 3.546 -2.148 5.312
S 9.313 0.000 2.528
S 5.619 -2.148 2.527
```

Top 10 peaks for 5 to 70 degrees two-theta, in order of rising 2θ:
d = 7.839 Å, rel. 84
d = 5.921 Å, rel. 14
d = 3.920 Å, rel. 31
d = 3.391 Å, rel. 21
d = 3.295 Å, rel. 34
d = 3.280 Å, rel. 17
d = 2.961 Å, rel. 100
d = 2.235 Å, rel. 25
d = 1.977 Å, rel. 23
d = 1.768 Å, rel. 15



No. 3
Theoretical powder X-ray diffraction pattern
Compound: ZnPt2Rh
Radiation: Cu Ka
Structure: a DFT-relaxed cell (PBE, Alexandria)
Kinematic intensities with the Lorentz-polarization factor, no thermal factor.

```
8
Lattice="5.547 0.000 0.000 0.000 7.695 0.000 0.000 0.000 2.771" Properties=species:S:1:pos:R:3 pbc="T T T"
Zn 0.000 0.000 0.000
Zn 2.773 3.848 0.000
Pt 1.387 1.924 1.386
Pt 1.387 5.771 1.386
Pt 4.160 1.924 1.386
Pt 4.160 5.771 1.386
Rh 0.000 3.848 0.000
Rh 2.773 0.000 0.000
```

Top 10 peaks for 5 to 70 degrees two-theta, in order of rising 2θ:
d = 4.500 Å, rel. 1
d = 3.848 Å, rel. 13
d = 2.772 Å, rel. 12
d = 2.249 Å, rel. 100
d = 1.960 Å, rel. 33
d = 1.924 Å, rel. 16
d = 1.747 Å, rel. 7
d = 1.581 Å, rel. 5
d = 1.386 Å, rel. 11
d = 1.373 Å, rel. 21



No. 4
Theoretical powder X-ray diffraction pattern
Compound: LiCa2TlO4
Radiation: Cu Ka
Structure: a DFT-relaxed cell (PBE, Alexandria)
Kinematic intensities with the Lorentz-polarization factor, no thermal factor.

```
8
Lattice="5.614 0.000 0.000 0.000 3.469 0.000 -1.619 0.000 5.493" Properties=species:S:1:pos:R:3 pbc="T T T"
Li 0.000 0.000 0.000
Ca 1.998 0.000 2.746
Ca 2.807 1.735 0.000
Tl -0.810 1.735 2.746
O 0.151 0.000 4.202
O 0.988 1.735 1.470
O 3.007 1.735 4.023
O 3.844 0.000 1.291
```

Top 10 peaks for 5 to 70 degrees two-theta, in order of rising 2θ:
d = 5.493 Å, rel. 100
d = 5.385 Å, rel. 33
d = 4.540 Å, rel. 64
d = 3.469 Å, rel. 34
d = 3.395 Å, rel. 32
d = 2.917 Å, rel. 43
d = 2.757 Å, rel. 49
d = 2.745 Å, rel. 43
d = 2.427 Å, rel. 87
d = 2.270 Å, rel. 36



No. 5
Theoretical powder X-ray diffraction pattern
Compound: Ac4SmZn5
Radiation: Cu Ka
Structure: a DFT-relaxed cell (PBE, Alexandria)
Kinematic intensities with the Lorentz-polarization factor, no thermal factor.

```
10
Lattice="3.863 0.000 0.000 0.000 3.863 0.000 0.000 0.000 19.222" Properties=species:S:1:pos:R:3 pbc="T T T"
Ac 0.000 0.000 1.967
Ac 0.000 0.000 5.932
Ac 0.000 0.000 13.290
Ac 0.000 0.000 17.255
Sm 0.000 0.000 9.611
Zn 1.932 1.932 0.000
Zn 1.932 1.932 3.934
Zn 1.932 1.932 8.002
Zn 1.932 1.932 11.220
Zn 1.932 1.932 15.288
```

Top 10 peaks for 5 to 70 degrees two-theta, in order of rising 2θ:
d = 3.863 Å, rel. 19
d = 3.844 Å, rel. 10
d = 2.727 Å, rel. 100
d = 2.227 Å, rel. 9
d = 1.932 Å, rel. 13
d = 1.922 Å, rel. 5
d = 1.727 Å, rel. 9
d = 1.576 Å, rel. 25
d = 1.572 Å, rel. 11
d = 1.362 Å, rel. 7



No. 6
Theoretical powder X-ray diffraction pattern
Compound: CaMg7Zn5
Radiation: Cu Ka
Structure: a DFT-relaxed cell (PBE, Alexandria)
Kinematic intensities with the Lorentz-polarization factor, no thermal factor.

```
13
Lattice="-2.762 4.827 4.864 2.762 -4.827 4.864 2.762 4.827 -4.864" Properties=species:S:1:pos:R:3 pbc="T T T"
Ca 0.000 0.000 0.000
Mg 2.762 1.986 -0.033
Mg 2.762 -1.468 4.765
Mg 0.000 0.000 3.308
Mg 2.762 1.468 4.765
Mg 0.000 0.000 6.282
Mg 0.000 4.827 2.634
Mg 0.000 2.841 4.831
Zn -1.380 2.469 7.236
Zn 1.380 2.469 7.236
Zn 2.762 0.000 2.069
Zn 1.383 2.357 2.372
Zn 4.142 2.357 2.372
```

Top 10 peaks for 5 to 70 degrees two-theta, in order of rising 2θ:
d = 4.864 Å, rel. 67
d = 4.823 Å, rel. 30
d = 3.423 Å, rel. 34
d = 2.432 Å, rel. 40
d = 2.416 Å, rel. 53
d = 2.413 Å, rel. 38
d = 2.399 Å, rel. 100
d = 2.171 Å, rel. 28
d = 2.162 Å, rel. 36
d = 2.150 Å, rel. 89



No. 7
Theoretical powder X-ray diffraction pattern
Compound: K10Rb2Au3
Radiation: Cu Ka
Structure: a DFT-relaxed cell (PBE, Alexandria)
Kinematic intensities with the Lorentz-polarization factor, no thermal factor.

```
30
Lattice="15.990 -4.712 0.000 15.990 4.712 0.000 -4.883 0.000 11.908" Properties=species:S:1:pos:R:3 pbc="T T T"
K 5.553 2.356 5.954
K -2.953 0.000 8.274
K 11.313 2.368 0.747
K 2.755 0.000 2.992
K 10.264 2.409 5.323
K 3.555 0.000 9.584
K 15.990 2.416 0.000
K 16.833 2.409 6.585
K 15.783 2.368 11.161
K 14.011 0.000 3.673
K 5.553 -2.356 5.954
K 13.085 0.000 8.235
K 11.313 -2.368 0.747
K 10.264 -2.409 5.323
K 15.990 -2.416 0.000
K 23.541 0.000 2.325
K 16.833 -2.409 6.585
K 24.341 0.000 8.916
K 15.783 -2.368 11.161
K 30.049 0.000 3.635
Rb 7.402 0.000 2.332
Rb 8.236 0.000 8.963
Rb 18.860 0.000 2.945
Rb 19.694 0.000 9.576
Au -2.501 0.000 11.586
Au 3.243 0.000 6.295
Au 13.548 2.378 5.954
Au 13.548 -2.378 5.954
Au 23.854 0.000 5.613
Au 29.597 0.000 0.323
```

Top 10 peaks for 5 to 70 degrees two-theta, in order of rising 2θ:
d = 8.980 Å, rel. 53
d = 5.954 Å, rel. 47
d = 5.331 Å, rel. 100
d = 5.252 Å, rel. 49
d = 4.373 Å, rel. 45
d = 3.529 Å, rel. 55
d = 2.990 Å, rel. 53
d = 2.816 Å, rel. 38
d = 2.656 Å, rel. 37
d = 2.352 Å, rel. 56



No. 8
Theoretical powder X-ray diffraction pattern
Compound: Li4Ho3InSe8
Radiation: Cu Ka
Structure: a DFT-relaxed cell (PBE, Alexandria)
Kinematic intensities with the Lorentz-polarization factor, no thermal factor.

```
16
Lattice="4.027 2.325 6.515 -4.027 2.325 6.515 0.000 -4.650 6.515" Properties=species:S:1:pos:R:3 pbc="T T T"
Li 0.000 0.000 0.000
Li -2.013 -1.162 6.515
Li -2.013 1.162 13.029
Li 0.000 2.325 6.515
Ho -4.027 0.000 9.772
Ho -2.013 1.162 3.257
Ho 2.013 1.162 3.257
In 0.000 0.000 9.772
Se 0.000 0.000 4.895
Se 0.000 -2.289 8.127
Se -1.983 1.145 8.127
Se -1.983 -1.145 11.416
Se 1.983 1.145 8.127
Se 1.983 -1.145 11.416
Se 0.000 2.289 11.416
Se 0.000 0.000 14.649
```

Top 10 peaks for 5 to 70 degrees two-theta, in order of rising 2θ:
d = 6.515 Å, rel. 50
d = 3.433 Å, rel. 36
d = 2.838 Å, rel. 100
d = 2.602 Å, rel. 18
d = 2.179 Å, rel. 9
d = 2.013 Å, rel. 37
d = 2.001 Å, rel. 36
d = 1.924 Å, rel. 14
d = 1.642 Å, rel. 19
d = 1.419 Å, rel. 12



No. 9
Theoretical powder X-ray diffraction pattern
Compound: CaZn2Co
Radiation: Cu Ka
Structure: a DFT-relaxed cell (PBE, Alexandria)
Kinematic intensities with the Lorentz-polarization factor, no thermal factor.

```
16
Lattice="6.438 0.000 0.000 0.000 6.467 0.000 0.000 0.000 6.557" Properties=species:S:1:pos:R:3 pbc="T T T"
Ca 0.000 0.000 0.000
Ca 0.000 3.234 3.279
Ca 3.219 0.000 3.279
Ca 3.219 3.234 0.000
Zn 0.000 0.000 3.279
Zn 0.000 3.234 0.000
Zn 1.610 1.617 1.639
Zn 1.610 4.850 4.918
Zn 3.219 0.000 0.000
Zn 3.219 3.234 3.279
Zn 4.829 1.617 4.918
Zn 4.829 4.850 1.639
Co 1.610 1.617 4.918
Co 1.610 4.850 1.639
Co 4.829 1.617 1.639
Co 4.829 4.850 4.918
```

Top 9 peaks for 5 to 70 degrees two-theta, in order of rising 2θ:
d = 3.745 Å, rel. 5
d = 2.300 Å, rel. 100
d = 2.281 Å, rel. 49
d = 1.971 Å, rel. 1
d = 1.952 Å, rel. 1
d = 1.945 Å, rel. 1
d = 1.639 Å, rel. 8
d = 1.617 Å, rel. 8
d = 1.610 Å, rel. 8



No. 10
Theoretical powder X-ray diffraction pattern
Compound: Dy4TeRu
Radiation: Cu Ka
Structure: a DFT-relaxed cell (PBE, Alexandria)
Kinematic intensities with the Lorentz-polarization factor, no thermal factor.

```
24
Lattice="8.130 0.000 0.000 0.000 4.008 0.000 0.000 0.000 19.447" Properties=species:S:1:pos:R:3 pbc="T T T"
Dy 0.021 1.002 1.316
Dy 0.365 3.006 4.176
Dy 1.127 3.006 12.519
Dy 1.153 3.006 8.808
Dy 2.912 1.002 18.531
Dy 2.938 1.002 2.795
Dy 3.700 1.002 13.900
Dy 4.044 3.006 11.040
Dy 4.086 1.002 8.407
Dy 4.430 3.006 5.547
Dy 5.192 3.006 16.652
Dy 5.218 3.006 0.916
Dy 6.977 1.002 10.640
Dy 7.003 1.002 6.928
Dy 7.765 1.002 15.271
Dy 8.109 3.006 18.131
Te 1.980 1.002 6.014
Te 2.085 3.006 15.738
Te 6.045 1.002 3.709
Te 6.150 3.006 13.433
Ru 1.988 1.002 10.696
Ru 2.077 3.006 0.973
Ru 6.053 1.002 18.474
Ru 6.142 3.006 8.751
```

Top 10 peaks for 5 to 70 degrees two-theta, in order of rising 2θ:
d = 2.891 Å, rel. 100
d = 2.854 Å, rel. 38
d = 2.810 Å, rel. 30
d = 2.791 Å, rel. 38
d = 2.684 Å, rel. 37
d = 2.629 Å, rel. 28
d = 2.612 Å, rel. 74
d = 2.367 Å, rel. 26
d = 2.004 Å, rel. 36
d = 1.503 Å, rel. 22



No. 11
Theoretical powder X-ray diffraction pattern
Compound: La5BPb3
Radiation: Cu Ka
Structure: a DFT-relaxed cell (PBE, Alexandria)
Kinematic intensities with the Lorentz-polarization factor, no thermal factor.

```
18
Lattice="9.767 0.000 0.000 -4.883 8.458 0.000 0.000 0.000 6.920" Properties=species:S:1:pos:R:3 pbc="T T T"
La -1.090 1.888 1.730
La -3.793 6.570 5.190
La 2.180 0.000 1.730
La 1.090 1.888 5.190
La 0.000 5.639 0.000
La 0.000 5.639 3.460
La 4.883 2.819 0.000
La 4.883 2.819 3.460
La 7.587 0.000 5.190
La 3.793 6.570 1.730
B 0.000 0.000 0.000
B 0.000 0.000 3.460
Pb -1.986 3.440 5.190
Pb -2.897 5.018 1.730
Pb 3.973 0.000 5.190
Pb 1.986 3.440 1.730
Pb 5.794 0.000 1.730
Pb 2.897 5.018 5.190
```

Top 10 peaks for 5 to 70 degrees two-theta, in order of rising 2θ:
d = 3.460 Å, rel. 22
d = 3.198 Å, rel. 30
d = 2.902 Å, rel. 100
d = 2.822 Å, rel. 77
d = 2.678 Å, rel. 17
d = 2.303 Å, rel. 13
d = 2.222 Å, rel. 19
d = 1.871 Å, rel. 30
d = 1.520 Å, rel. 31
d = 1.474 Å, rel. 13



No. 12
Theoretical powder X-ray diffraction pattern
Compound: Li2Dy3Mg9
Radiation: Cu Ka
Structure: a DFT-relaxed cell (PBE, Alexandria)
Kinematic intensities with the Lorentz-polarization factor, no thermal factor.

```
14
Lattice="-2.508 5.650 6.068 2.508 -5.650 6.068 2.508 5.650 -6.068" Properties=species:S:1:pos:R:3 pbc="T T T"
Li 0.000 1.746 0.000
Li 0.000 9.555 0.000
Dy 0.000 0.000 2.663
Dy 0.000 0.000 6.068
Dy 0.000 0.000 9.473
Mg 2.508 0.000 0.000
Mg 2.508 2.593 -1.681
Mg 2.508 -1.458 4.459
Mg 2.508 2.593 1.681
Mg 2.508 1.458 4.459
Mg 0.000 4.192 1.609
Mg 0.000 3.057 4.387
Mg 0.000 7.109 1.609
Mg 0.000 3.057 7.750
```

Top 10 peaks for 5 to 70 degrees two-theta, in order of rising 2θ:
d = 8.270 Å, rel. 29
d = 5.650 Å, rel. 86
d = 4.585 Å, rel. 96
d = 3.149 Å, rel. 33
d = 3.012 Å, rel. 78
d = 2.752 Å, rel. 100
d = 2.673 Å, rel. 47
d = 2.530 Å, rel. 63
d = 2.508 Å, rel. 39
d = 1.829 Å, rel. 30